# NbSeI
Simulated powder XRD pattern, a wavelength of 1.5418 Å. Input: a crystal structure in the Materials Project, relaxed with GGA-PBE.
Lines closer than 0.1° are merged.

Top 10 peaks for 5° ≤ 2θ ≤ 70°, in order of rising 2θ:
d = 6.322 Å, I 32.8
d = 3.302 Å, I 19.3
d = 3.161 Å, I 38.7
d = 2.738 Å, I 100.0
d = 2.512 Å, I 19.4
d = 2.235 Å, I 15.8
d = 2.107 Å, I 13.9
d = 1.936 Å, I 62.8
d = 1.651 Å, I 27.1
d = 1.581 Å, I 19.5

Cell and atoms:
abc: 7.743 7.743 7.743
angles: 60.00 60.00 60.00
Atoms (fractional coordinates):
Nb 0.402 0.402 0.402
Nb 0.402 0.402 0.795
Nb 0.402 0.795 0.402
Nb 0.795 0.402 0.402
Se 0.107 0.631 0.631
Se 0.631 0.107 0.631
Se 0.631 0.631 0.107
Se 0.631 0.631 0.631
I 0.128 0.128 0.128
I 0.128 0.128 0.617
I 0.128 0.617 0.128
I 0.617 0.128 0.128

# Y6Cu15P16
Simulated powder XRD pattern, a wavelength of 1.5418 Å. Input: a crystal structure in the Materials Project, relaxed with GGA-PBE.
Lines closer than 0.1° are merged.

Top 10 peaks for 5° ≤ 2θ ≤ 70°, in order of rising 2θ:
d = 3.215 Å, I 9.6
d = 3.199 Å, I 16.0
d = 2.969 Å, I 7.7
d = 2.956 Å, I 18.4
d = 2.328 Å, I 100.0
d = 2.063 Å, I 61.9
d = 2.052 Å, I 31.5
d = 1.547 Å, I 8.6
d = 1.540 Å, I 16.7
d = 1.492 Å, I 8.2

Cell and atoms:
abc: 7.157 4.104 19.601
angles: 90.00 96.91 90.00
Atoms (fractional coordinates):
Y 0.000 0.000 0.000
Y 0.105 0.000 0.318
Y 0.394 0.500 0.684
Y 0.500 0.500 0.000
Y 0.611 0.500 0.319
Y 0.892 0.000 0.681
Cu 0.020 0.500 0.572
Cu 0.118 0.000 0.483
Cu 0.134 0.500 0.900
Cu 0.241 0.500 0.218
Cu 0.259 0.000 0.783
Cu 0.345 0.500 0.520
Cu 0.366 0.000 0.101
Cu 0.470 0.000 0.429
Cu 0.529 0.000 0.578
Cu 0.634 0.000 0.900
Cu 0.687 0.500 0.479
Cu 0.740 0.000 0.216
Cu 0.761 0.500 0.783
Cu 0.866 0.500 0.101
Cu 0.983 0.500 0.423
P 0.046 0.000 0.159
P 0.087 0.500 0.767
P 0.195 0.500 0.087
P 0.203 0.000 0.597
P 0.303 0.500 0.403
P 0.305 0.000 0.914
P 0.414 0.000 0.234
P 0.456 0.500 0.842
P 0.541 0.500 0.162
P 0.589 0.000 0.768
P 0.694 0.000 0.086
P 0.696 0.500 0.595
P 0.804 0.000 0.413
P 0.805 0.500 0.914
P 0.912 0.500 0.233
P 0.956 0.000 0.839